Structure and computed powder XRD pattern of GaNi2BO5 (a GGA+U-relaxed structure; Cu Kα (weighted mean of Kα1 and Kα2)).
No peak broadening, texture or thermal motion is included.

Main lines, by angle (2θ from 10° to 90°):
d 5.131, I = 700; d 2.565, I = 1000; d 2.523, I = 783; d 2.343, I = 301; d 2.332, I = 360; d 2.126, I = 222; d 2.037, I = 331; d 1.910, I = 328; d 1.579, I = 265; d 1.496, I = 284

Cell and atoms:
Unit cell a=9.326 b=12.288 c=3.001 alpha=90.00 beta=90.00 gamma=90.00
Sites, in units of the cell vectors:
Ga1 0.239 0.116 0.000
Ga2 0.261 0.616 0.000
Ga3 0.739 0.384 0.000
Ga4 0.761 0.884 0.000
Ni1 0.000 0.000 0.500
Ni2 0.000 0.281 0.500
Ni3 0.000 0.500 0.000
Ni4 0.000 0.719 0.500
Ni5 0.500 0.000 0.000
Ni6 0.500 0.219 0.500
Ni7 0.500 0.500 0.500
Ni8 0.500 0.781 0.500
B1 0.228 0.861 0.000
B2 0.272 0.361 0.000
B3 0.728 0.639 0.000
B4 0.772 0.139 0.000
O1 0.110 0.143 0.500
O2 0.119 0.579 0.500
O3 0.124 0.360 0.000
O4 0.151 0.959 0.000
O5 0.153 0.763 0.000
O6 0.347 0.263 0.000
O7 0.349 0.459 0.000
O8 0.376 0.860 0.000
O9 0.381 0.079 0.500
O10 0.390 0.643 0.500
O11 0.610 0.357 0.500
O12 0.619 0.921 0.500
O13 0.624 0.140 0.000
O14 0.651 0.541 0.000
O15 0.653 0.737 0.000
O16 0.847 0.237 0.000
O17 0.849 0.041 0.000
O18 0.876 0.640 0.000
O19 0.881 0.421 0.500
O20 0.890 0.857 0.500

=====

Structure and computed powder XRD pattern of MoH2O4 (a GGA+U-relaxed structure; Cu Kα (weighted mean of Kα1 and Kα2)).
No peak broadening, texture or thermal motion is included.

Main lines, by angle (2θ from 10° to 90°):
d 7.008, I = 245; d 5.753, I = 539; d 5.656, I = 1000; d 3.504, I = 318; d 3.409, I = 356; d 3.334, I = 389; d 3.122, I = 258; d 3.079, I = 233; d 2.970, I = 183; d 2.052, I = 187

Cell and atoms:
Unit cell a=3.768 b=6.516 c=7.743 alpha=65.42 beta=88.09 gamma=73.46
Sites, in units of the cell vectors:
Mo1 0.000 0.000 0.000
Mo2 0.463 0.131 0.588
H1 0.200 0.640 0.463
H2 0.220 0.555 0.105
H3 0.261 0.551 0.686
H4 0.769 0.488 0.912
O1 0.058 0.867 0.244
O2 0.143 0.697 0.983
O3 0.288 0.498 0.585
O4 0.396 0.290 0.343
O5 0.486 0.035 0.919
O6 0.606 0.840 0.618
O7 0.841 0.315 0.973
O8 0.956 0.136 0.668

=====

Structure and computed powder XRD pattern of Mn3O4 (a GGA+U-relaxed structure; Cu Kα (weighted mean of Kα1 and Kα2)).
No peak broadening, texture or thermal motion is included.

Main lines, by angle (2θ from 10° to 90°):
d 6.065, I = 431; d 5.291, I = 472; d 4.850, I = 1000; d 3.031, I = 555; d 2.424, I = 427; d 2.311, I = 372; d 2.205, I = 447; d 2.194, I = 518; d 1.689, I = 267; d 1.504, I = 280

Cell and atoms:
Unit cell a=10.582 b=3.160 c=12.130 alpha=90.00 beta=90.02 gamma=90.00
Sites, in units of the cell vectors:
Mn1 0.000 0.000 0.000
Mn2 0.001 0.000 0.572
Mn3 0.255 0.000 0.486
Mn4 0.256 0.000 0.079
Mn5 0.352 0.500 0.285
Mn6 0.407 0.000 0.783
Mn7 0.495 0.500 0.583
Mn8 0.499 0.500 0.988
Mn9 0.749 0.500 0.505
Mn10 0.750 0.500 0.073
Mn11 0.813 0.000 0.284
Mn12 0.921 0.500 0.787
O1 0.014 0.000 0.786
O2 0.126 0.500 0.526
O3 0.128 0.500 0.041
O4 0.256 0.000 0.287
O5 0.372 0.500 0.129
O6 0.374 0.500 0.440
O7 0.377 0.000 0.630
O8 0.384 0.000 0.938
O9 0.504 0.500 0.780
O10 0.623 0.000 0.547
O11 0.626 0.000 0.027
O12 0.720 0.500 0.274
O13 0.850 0.000 0.438
O14 0.860 0.000 0.133
O15 0.890 0.500 0.631
O16 0.890 0.500 0.941

=====

Structure and computed powder XRD pattern of MgCr2Fe4O10 (a GGA+U-relaxed structure; Cu Kα (weighted mean of Kα1 and Kα2)).
No peak broadening, texture or thermal motion is included.

Main lines, by angle (2θ from 10° to 90°):
d 4.747, I = 387; d 3.513, I = 741; d 3.031, I = 485; d 2.693, I = 749; d 2.567, I = 827; d 2.539, I = 1000; d 1.781, I = 487; d 1.768, I = 552; d 1.740, I = 580; d 1.476, I = 489

Cell and atoms:
Unit cell a=5.131 b=5.737 c=7.516 alpha=109.93 beta=90.06 gamma=116.49
Sites, in units of the cell vectors:
Mg1 0.000 0.000 0.000
Cr1 0.771 0.565 0.106
Cr2 0.798 0.608 0.580
Fe1 0.165 0.352 0.385
Fe2 0.193 0.396 0.859
Fe3 0.428 0.864 0.303
Fe4 0.435 0.878 0.774
O1 0.001 0.629 0.839
O2 0.047 0.410 0.130
O3 0.125 0.968 0.239
O4 0.213 0.766 0.521
O5 0.389 0.464 0.644
O6 0.419 0.212 0.935
O7 0.563 0.768 0.039
O8 0.591 0.594 0.341
O9 0.762 0.229 0.434
O10 0.848 0.999 0.750

=====

Structure and computed powder XRD pattern of MgFeSiO4 (a GGA+U-relaxed structure; Cu Kα (weighted mean of Kα1 and Kα2)).
No peak broadening, texture or thermal motion is included.

Main lines, by angle (2θ from 10° to 90°):
d 5.217, I = 560; d 4.417, I = 209; d 3.958, I = 240; d 2.832, I = 677; d 2.566, I = 265; d 2.503, I = 1000; d 2.071, I = 183; d 1.786, I = 522; d 1.781, I = 180; d 1.509, I = 256

Cell and atoms:
Unit cell a=10.435 b=6.074 c=4.876 alpha=90.00 beta=90.00 gamma=90.00
Sites, in units of the cell vectors:
Mg1 0.222 0.250 0.009
Mg2 0.278 0.750 0.509
Mg3 0.722 0.250 0.491
Mg4 0.778 0.750 0.991
Fe1 0.000 0.000 0.500
Fe2 0.000 0.500 0.500
Fe3 0.500 0.000 0.000
Fe4 0.500 0.500 0.000
Si1 0.096 0.750 0.074
Si2 0.404 0.250 0.574
Si3 0.596 0.750 0.426
Si4 0.904 0.250 0.926
O1 0.052 0.250 0.793
O2 0.096 0.750 0.736
O3 0.166 0.535 0.217
O4 0.166 0.965 0.217
O5 0.334 0.035 0.717
O6 0.334 0.465 0.717
O7 0.404 0.250 0.236
O8 0.448 0.750 0.293
O9 0.552 0.250 0.707
O10 0.596 0.750 0.764
O11 0.666 0.535 0.283
O12 0.666 0.965 0.283
O13 0.834 0.035 0.783
O14 0.834 0.465 0.783
O15 0.904 0.250 0.264
O16 0.948 0.750 0.207

=====

Structure and computed powder XRD pattern of RbMgInMo2O8 (a GGA+U-relaxed structure; Cu Kα (weighted mean of Kα1 and Kα2)).
No peak broadening, texture or thermal motion is included.

Main lines, by angle (2θ from 10° to 90°):
d 5.138, I = 265; d 4.607, I = 1000; d 3.656, I = 573; d 2.966, I = 657; d 2.875, I = 429; d 2.065, I = 264; d 1.909, I = 172; d 1.819, I = 158; d 1.704, I = 210; d 1.695, I = 197

Cell and atoms:
Unit cell a=5.933 b=5.933 c=10.407 alpha=90.00 beta=90.00 gamma=120.00
Sites, in units of the cell vectors:
Rb1 0.000 0.000 0.000
Mg1 0.000 0.000 0.366
In1 0.000 0.000 0.628
Mo1 0.333 0.667 0.812
Mo2 0.667 0.333 0.426
O1 0.165 0.330 0.761
O2 0.165 0.835 0.761
O3 0.307 0.154 0.482
O4 0.333 0.667 0.981
O5 0.667 0.333 0.253
O6 0.670 0.835 0.761
O7 0.846 0.154 0.482
O8 0.846 0.693 0.482

=====

Structure and computed powder XRD pattern of Na2VP2O8 (a GGA+U-relaxed structure; Cu Kα (weighted mean of Kα1 and Kα2)).
No peak broadening, texture or thermal motion is included.

Main lines, by angle (2θ from 10° to 90°):
d 5.024, I = 842; d 3.735, I = 403; d 3.211, I = 465; d 2.997, I = 1000; d 2.953, I = 144; d 2.641, I = 501; d 2.512, I = 217; d 2.338, I = 178; d 1.867, I = 200; d 1.820, I = 173

Cell and atoms:
Unit cell a=8.351 b=8.351 c=5.024 alpha=90.00 beta=90.00 gamma=90.00
Sites, in units of the cell vectors:
Na1 0.176 0.324 0.000
Na2 0.324 0.824 0.000
Na3 0.676 0.176 0.000
Na4 0.824 0.676 0.000
V1 0.000 0.000 0.448
V2 0.500 0.500 0.448
P1 0.129 0.629 0.464
P2 0.371 0.129 0.464
P3 0.629 0.871 0.464
P4 0.871 0.371 0.464
O1 0.000 0.000 0.773
O2 0.000 0.500 0.345
O3 0.077 0.786 0.327
O4 0.129 0.629 0.763
O5 0.214 0.077 0.327
O6 0.286 0.577 0.327
O7 0.371 0.129 0.763
O8 0.423 0.286 0.327
O9 0.500 0.000 0.345
O10 0.500 0.500 0.773
O11 0.577 0.714 0.327
O12 0.629 0.871 0.763
O13 0.714 0.423 0.327
O14 0.786 0.923 0.327
O15 0.871 0.371 0.763
O16 0.923 0.214 0.327